[1]
Theoretical X-ray diffraction stick pattern of CsSrO3 for CuKα, from a structure optimized by DFT (PBE).
Intensities are scaled so that the largest is 100.

Cell and atoms:
```
data_CsSrO3
_cell_length_a 4.9296
_cell_length_b 4.9296
_cell_length_c 4.9296
_cell_angle_alpha 90.00
_cell_angle_beta 90.00
_cell_angle_gamma 90.00
_space_group_name_H-M_alt 'P m -3 m'
_space_group_IT_number 221
_space_group_name_Hall '-P 4 2 3'
loop_
_atom_site_label
_atom_site_type_symbol
_atom_site_fract_x
_atom_site_fract_y
_atom_site_fract_z
Cs1 Cs 0.0000 0.0000 0.0000
Sr1 Sr 0.5000 0.5000 0.5000
O1 O 0.0000 0.5000 0.5000
```

Most intense lines, 2θ from 10° to 90°, low angle first:
2θ (°)  I_rel  h k l
25.55  100  1 1 0
31.43  8  1 1 1
36.45  35  2 0 0
45.05  44  2 1 1
52.50  23  2 2 0
59.28  20  3 1 0
62.49  3  3 1 1
65.60  8  2 2 2
71.63  23  3 2 1
77.44  3  4 0 0
83.13  12  4 1 1
88.75  10  4 2 0



[2]
Theoretical X-ray diffraction stick pattern of Cs2Sr2O3 for CuKα, from a structure optimized by DFT (PBE).
Intensities are scaled so that the largest is 100.

Cell and atoms:
```
data_Cs2Sr2O3
_cell_length_a 7.2271
_cell_length_b 7.5155
_cell_length_c 7.4528
_cell_angle_alpha 90.00
_cell_angle_beta 116.20
_cell_angle_gamma 90.00
_space_group_name_H-M_alt 'P 1 21/c 1'
_space_group_IT_number 14
loop_
_space_group_symop_operation_xyz
'x,y,z'
'-x,-y,-z'
'-x,y+1/2,-z+1/2'
'x,-y+1/2,z+1/2'
loop_
_atom_site_label
_atom_site_type_symbol
_atom_site_fract_x
_atom_site_fract_y
_atom_site_fract_z
Cs1 Cs 0.1778 0.1473 0.4229
Sr1 Sr 0.3333 0.6207 0.5689
O1 O 0.0000 0.0000 0.0000
O2 O 0.4018 0.6087 0.2708
```

Most intense lines, 2θ from 10° to 90°, low angle first:
2θ (°)  I_rel  h k l
25.85  30  1 1 1
26.66  21  0 0 2
27.49  20  2 0 0
27.73  100  1 2 -1
28.67  50  2 0 -2
29.23  36  0 1 2
30.02  43  2 1 0
33.20  30  1 2 1
38.37  21  1 1 -3
42.98  17  1 3 1
48.47  23  0 4 0
50.23  31  3 2 -3



[3]
Theoretical X-ray diffraction stick pattern of CsTaO3 for CuKα, from a structure optimized by DFT (PBE).
Intensities are scaled so that the largest is 100.

Cell and atoms:
```
data_CsTaO3
_cell_length_a 4.1442
_cell_length_b 4.1442
_cell_length_c 4.1442
_cell_angle_alpha 90.00
_cell_angle_beta 90.00
_cell_angle_gamma 90.00
_space_group_name_H-M_alt 'P m -3 m'
_space_group_IT_number 221
_space_group_name_Hall '-P 4 2 3'
loop_
_atom_site_label
_atom_site_type_symbol
_atom_site_fract_x
_atom_site_fract_y
_atom_site_fract_z
Cs1 Cs 0.0000 0.0000 0.0000
Ta1 Ta 0.5000 0.5000 0.5000
O1 O 0.0000 0.5000 0.5000
```

Most intense lines, 2θ from 10° to 90°, low angle first:
2θ (°)  I_rel  h k l
21.44  6  1 0 0
30.51  100  1 1 0
43.68  28  2 0 0
49.16  3  2 1 0
54.22  41  2 1 1
63.49  18  2 2 0
67.85  1  3 0 0
72.07  18  3 1 0
80.24  6  2 2 2
84.25  1  3 2 0
88.22  22  3 2 1



[4]
Theoretical X-ray diffraction stick pattern of Cs8Ta6O19 for CuKα, from a structure optimized by DFT (PBE).
Intensities are scaled so that the largest is 100.

Cell and atoms:
```
data_Cs8Ta6O19
_cell_length_a 10.0707
_cell_length_b 10.0707
_cell_length_c 14.1793
_cell_angle_alpha 90.00
_cell_angle_beta 90.00
_cell_angle_gamma 90.00
_space_group_name_H-M_alt 'I 4/m'
_space_group_IT_number 87
_space_group_name_Hall '-I 4'
loop_
_atom_site_label
_atom_site_type_symbol
_atom_site_fract_x
_atom_site_fract_y
_atom_site_fract_z
Cs1 Cs 0.0835 0.2838 0.1482
Ta1 Ta 0.0000 0.0000 0.3336
Ta2 Ta 0.1043 0.2136 0.5000
O1 O 0.0000 0.0000 0.2040
O2 O 0.0000 0.0000 0.5000
O3 O 0.0871 0.7397 0.5000
O4 O 0.0878 0.1759 0.3608
O5 O 0.1296 0.6967 0.0000
```

Most intense lines, 2θ from 10° to 90°, low angle first:
2θ (°)  I_rel  h k l
10.78  47  1 0 1
12.45  20  1 1 0
20.73  11  1 0 3
27.35  100  2 1 3
28.02  49  1 3 0
30.79  11  3 1 2
37.96  11  1 3 4
38.08  14  0 0 6
40.04  17  4 2 0
45.49  13  3 4 1
47.94  15  1 3 6
49.17  21  5 0 3